[1]
Structure and computed powder diffraction line list of Ba3LaTa3O12 (DFT lattice parameters and positions (PBE); Cu Kα (λ = 1.5418 Å)).
Intensities are scaled so that the largest is 100.

The 6 most intense peaks (2θ = 10–80°), sorted by position:
Position (°2θ)  Rel. int.  index
28.50  100.0  1 0 7
30.79  83.1  1 1 0
42.45  49.5  0 2 7
48.99  21.2  0 1 14
53.35  35.5  2 1 7
68.01  18.5  1 2 14

Unit cell a=5.8084 b=5.8084 c=28.0170 alpha=90.00 beta=90.00 gamma=120.00
Space group R3m (No. 160, hexagonal axes)
Symmetry-distinct sites (fractional):
1 Ba 0.0000 0.0000 0.0000 x3
2 Ba 0.0000 0.0000 0.1542 x3
3 Ba 0.0000 0.0000 0.5774 x3
4 La 0.0000 0.0000 0.7195 x3
5 Ta 0.0000 0.0000 0.2895 x3
6 Ta 0.0000 0.0000 0.4434 x3
7 Ta 0.0000 0.0000 0.8662 x3
8 O 0.0013 0.5006 0.9909 x9
9 O 0.0020 0.5010 0.5762 x9
10 O 0.1686 0.3373 0.4941 x9
11 O 0.1688 0.3376 0.0782 x9

[2]
Structure and computed powder diffraction line list of NaCoGe (DFT lattice parameters and positions (PBE); Cu Kα (λ = 1.5418 Å)).
Intensities are scaled so that the largest is 100.

The 6 most intense peaks (2θ = 10–80°), sorted by position:
Position (°2θ)  Rel. int.  index
16.44  100.0  0 0 1
33.23  32.0  0 0 2
42.18  55.9  1 2 0
47.19  13.4  2 0 1
48.73  21.8  1 2 2
60.25  12.8  1 2 3

Unit cell a=3.8520 b=5.3102 c=5.7225 alpha=89.91 beta=70.44 gamma=90.00
Space group P1 (No. 1)
Symmetry-distinct sites (fractional):
1 Na 0.0000 0.0000 0.0000 x1
2 Na 0.4686 0.4995 0.0633 x1
3 Co 0.2109 0.5014 0.5775 x1
4 Co 0.2563 0.0015 0.4860 x1
5 Ge 0.7337 0.2514 0.5315 x1
6 Ge 0.7335 0.7514 0.5319 x1